Record 1
Starting from a structure optimized by DFT (PBE), the powder diffraction line list of YReTc was computed for Cu Kα, 1.54184 Å.
No peak broadening, texture or thermal motion is included.

Cell lengths 5.3279, 5.5632, 7.5869 Å; angles 90.00, 90.00, 90.00 degrees
Space group Imma (No. 74)
Asymmetric unit:
Y: 0.0000 0.2500 0.1250 (multiplicity 4)
Re: 0.2500 0.2500 0.7500 (multiplicity 4)
Tc: 0.0000 0.0000 0.5000 (multiplicity 4)

The 10 most intense peaks (2θ from 15° to 90°), low angle first:
| 2theta | Rel. int. | index |
| --- | --- | --- |
| 19.8 | 64 | 0 1 1 |
| 33.2 | 21 | 1 1 2 |
| 38.4 | 47 | 1 2 1 |
| 39.1 | 51 | 0 1 3 |
| 39.3 | 100 | 2 1 1 |
| 39.4 | 22 | 1 0 3 |
| 40.2 | 62 | 0 2 2 |
| 41.4 | 57 | 2 0 2 |
| 62.2 | 26 | 2 3 1 |
| 69.6 | 42 | 2 2 4 |


Record 2
Starting from a structure optimized by DFT (PBE), the powder diffraction line list of Zr2ReTc2 was computed for Cu Kα, 1.54184 Å.
No peak broadening, texture or thermal motion is included.

Cell lengths 6.4767, 6.4767, 4.4569 Å; angles 90.00, 90.00, 90.00 degrees
Space group P4/mbm (No. 127)
Asymmetric unit:
Zr: 0.1823 0.3177 0.0000 (multiplicity 4)
Re: 0.0000 0.0000 0.5000 (multiplicity 2)
Tc: 0.1388 0.6388 0.5000 (multiplicity 4)

The 10 most intense peaks (2θ from 15° to 90°), low angle first:
| 2theta | Rel. int. | index |
| --- | --- | --- |
| 19.9 | 30 | 0 0 1 |
| 27.9 | 23 | 1 1 1 |
| 34.2 | 59 | 2 0 1 |
| 37.0 | 100 | 2 1 1 |
| 39.3 | 20 | 2 2 0 |
| 40.5 | 41 | 0 0 2 |
| 44.2 | 53 | 3 1 0 |
| 48.9 | 29 | 3 1 1 |
| 61.5 | 39 | 3 1 2 |
| 71.4 | 14 | 2 1 3 |


Record 3
Starting from a structure optimized by DFT (PBE), the powder diffraction line list of Re5Te3 was computed for Cu Kα, 1.54184 Å.
No peak broadening, texture or thermal motion is included.

Cell lengths 5.4112, 15.5678, 8.0634 Å; angles 90.00, 109.18, 90.00 degrees
Space group Cm (No. 8)
Asymmetric unit:
Re: 0.0000 0.0000 0.0000 (multiplicity 2)
Re: 0.0062 0.5000 0.0156 (multiplicity 2)
Re: 0.1248 0.4193 0.7493 (multiplicity 4)
Re: 0.1675 0.1288 0.8363 (multiplicity 4)
Re: 0.3423 0.1281 0.1690 (multiplicity 4)
Re: 0.3961 0.4179 0.2676 (multiplicity 4)
Te: 0.0238 0.5000 0.4002 (multiplicity 2)
Te: 0.1291 0.0000 0.6142 (multiplicity 2)
Te: 0.3222 0.3039 0.0061 (multiplicity 4)
Te: 0.4961 0.2819 0.5122 (multiplicity 4)

The 10 most intense peaks (2θ from 15° to 90°), low angle first:
| 2theta | Rel. int. | index |
| --- | --- | --- |
| 32.9 | 100 | 0 4 2 |
| 33.1 | 80 | 2 0 -1 |
| 37.8 | 36 | 1 5 -2 |
| 38.0 | 32 | 1 3 2 |
| 38.2 | 32 | 1 3 -3 |
| 40.6 | 37 | 2 4 -1 |
| 42.1 | 36 | 0 6 2 |
| 42.5 | 89 | 2 2 1 |
| 44.4 | 73 | 1 7 0 |
| 45.2 | 38 | 1 1 3 |


Record 4
Starting from a structure optimized by DFT (PBE), the powder diffraction line list of Th4ReTe3 was computed for Cu Kα, 1.54184 Å.
No peak broadening, texture or thermal motion is included.

Cell lengths 9.2896, 12.6969, 4.2772 Å; angles 90.00, 90.00, 90.00 degrees
Space group Cmmm (No. 65)
Asymmetric unit:
Th: 0.0000 0.2269 0.0000 (multiplicity 4)
Th: 0.2052 0.0000 0.5000 (multiplicity 4)
Re: 0.0000 0.0000 0.0000 (multiplicity 2)
Te: 0.0000 0.5000 0.0000 (multiplicity 2)
Te: 0.2500 0.2500 0.5000 (multiplicity 4)

The 10 most intense peaks (2θ from 15° to 90°), low angle first:
| 2theta | Rel. int. | index |
| --- | --- | --- |
| 28.1 | 51 | 0 4 0 |
| 28.4 | 100 | 2 0 1 |
| 36.5 | 11 | 3 1 1 |
| 38.8 | 16 | 4 0 0 |
| 40.4 | 70 | 2 4 1 |
| 42.3 | 19 | 0 0 2 |
| 48.6 | 15 | 4 4 0 |
| 51.5 | 19 | 0 4 2 |
| 65.9 | 12 | 2 8 1 |
| 66.3 | 12 | 4 4 2 |


Record 5
Starting from a structure optimized by DFT (PBE), the powder diffraction line list of Tl2ReTe was computed for Cu Kα, 1.54184 Å.
No peak broadening, texture or thermal motion is included.

Cell lengths 3.3806, 3.3806, 32.0445 Å; angles 90.00, 90.00, 120.00 degrees
Space group R3m (No. 160, hexagonal axes)
Asymmetric unit:
Tl: 0.0000 0.0000 0.0000 (multiplicity 3)
Tl: 0.0000 0.0000 0.2451 (multiplicity 3)
Re: 0.0000 0.0000 0.7378 (multiplicity 3)
Te: 0.0000 0.0000 0.4597 (multiplicity 3)

The 10 most intense peaks (2θ from 15° to 90°), low angle first:
| 2theta | Rel. int. | index |
| --- | --- | --- |
| 25.0 | 10 | 0 0 9 |
| 32.6 | 100 | 1 0 4 |
| 33.6 | 21 | 0 0 12 |
| 36.4 | 14 | 1 0 7 |
| 38.1 | 46 | 0 1 8 |
| 43.8 | 15 | 0 1 11 |
| 54.3 | 27 | 1 1 0 |
| 64.7 | 14 | 0 2 4 |
| 65.3 | 13 | 1 1 12 |
| 89.4 | 12 | 2 1 4 |


Record 6
Starting from a structure optimized by DFT (PBE), the powder diffraction line list of ReTe4W was computed for Cu Kα, 1.54184 Å.
No peak broadening, texture or thermal motion is included.

Cell lengths 15.3651, 3.4588, 6.3426 Å; angles 90.00, 101.71, 90.00 degrees
Space group Cm (No. 8)
Asymmetric unit:
Re: 0.0000 0.0000 0.0000 (multiplicity 2)
Te: 0.0941 0.0000 0.4259 (multiplicity 2)
Te: 0.1312 0.5000 0.9530 (multiplicity 2)
Te: 0.3591 0.5000 0.6707 (multiplicity 2)
Te: 0.3974 0.0000 0.1900 (multiplicity 2)
W: 0.4905 0.0000 0.6244 (multiplicity 2)

The 10 most intense peaks (2θ from 15° to 90°), low angle first:
| 2theta | Rel. int. | index |
| --- | --- | --- |
| 28.8 | 16 | 0 0 2 |
| 29.6 | 18 | 1 1 -1 |
| 33.1 | 100 | 3 1 -1 |
| 33.4 | 42 | 2 0 2 |
| 40.1 | 17 | 5 1 -1 |
| 40.4 | 23 | 3 1 -2 |
| 41.5 | 22 | 6 0 -2 |
| 44.5 | 38 | 5 1 1 |
| 50.7 | 18 | 1 1 -3 |
| 52.9 | 16 | 0 2 0 |


Record 7
Starting from a structure optimized by DFT (PBE), the powder diffraction line list of ThRe6 was computed for Cu Kα, 1.54184 Å.
No peak broadening, texture or thermal motion is included.

Cell lengths 8.6213, 5.3054, 10.8774 Å; angles 90.00, 90.00, 90.00 degrees
Space group Pnma (No. 62)
Asymmetric unit:
Th: 0.2285 0.2500 0.0544 (multiplicity 4)
Re: 0.0686 0.0082 0.3069 (multiplicity 8)
Re: 0.0873 0.2500 0.5236 (multiplicity 4)
Re: 0.0923 0.7500 0.0808 (multiplicity 4)
Re: 0.1471 0.7500 0.8453 (multiplicity 4)
Re: 0.1840 0.2500 0.7593 (multiplicity 4)

The 10 most intense peaks (2θ from 15° to 90°), low angle first:
| 2theta | Rel. int. | index |
| --- | --- | --- |
| 33.8 | 21 | 0 2 0 |
| 34.6 | 47 | 1 0 4 |
| 36.5 | 100 | 3 1 1 |
| 37.7 | 20 | 0 2 2 |
| 39.9 | 17 | 2 2 0 |
| 40.8 | 30 | 2 2 1 |
| 42.8 | 52 | 4 0 1 |
| 42.9 | 18 | 1 0 5 |
| 43.6 | 33 | 1 2 3 |
| 62.2 | 22 | 3 3 1 |


Record 8
Starting from a structure optimized by DFT (PBE), the powder diffraction line list of Th3TlRe was computed for Cu Kα, 1.54184 Å.
No peak broadening, texture or thermal motion is included.

Cell lengths 7.8782, 14.6348, 5.3686 Å; angles 90.00, 90.00, 90.00 degrees
Space group Cmmm (No. 65)
Asymmetric unit:
Th: 0.0000 0.1272 0.0000 (multiplicity 4)
Th: 0.1962 0.5000 0.5000 (multiplicity 4)
Th: 0.2500 0.2500 0.5000 (multiplicity 4)
Tl: 0.0000 0.3687 0.0000 (multiplicity 4)
Re: 0.0000 0.1083 0.5000 (multiplicity 4)

The 10 most intense peaks (2θ from 15° to 90°), low angle first:
| 2theta | Rel. int. | index |
| --- | --- | --- |
| 28.1 | 41 | 2 0 1 |
| 29.5 | 44 | 0 4 1 |
| 33.4 | 100 | 0 0 2 |
| 46.1 | 11 | 4 0 0 |
| 48.0 | 47 | 2 4 2 |
| 49.8 | 10 | 0 8 0 |
| 58.1 | 11 | 4 0 2 |
| 58.2 | 13 | 2 8 1 |
| 61.3 | 11 | 0 8 2 |
| 80.0 | 18 | 2 4 4 |


Record 9
Starting from a structure optimized by DFT (PBE), the powder diffraction line list of Th3TlRe was computed for Cu Kα, 1.54184 Å.
No peak broadening, texture or thermal motion is included.

Cell lengths 6.6229, 10.3459, 17.0553 Å; angles 90.00, 90.00, 90.00 degrees
Space group Fmmm (No. 69)
Asymmetric unit:
Th: 0.0000 0.0000 0.1935 (multiplicity 8)
Th: 0.0000 0.1783 0.3809 (multiplicity 16)
Tl: 0.2163 0.0000 0.0000 (multiplicity 8)
Re: 0.2500 0.2500 0.2500 (multiplicity 8)

The 10 most intense peaks (2θ from 15° to 90°), low angle first:
| 2theta | Rel. int. | index |
| --- | --- | --- |
| 27.1 | 30 | 0 2 4 |
| 29.7 | 87 | 1 3 1 |
| 30.7 | 74 | 1 1 5 |
| 33.3 | 61 | 1 3 3 |
| 33.8 | 100 | 2 2 2 |
| 34.3 | 93 | 2 0 4 |
| 36.1 | 43 | 0 2 6 |
| 51.7 | 34 | 3 3 3 |
| 53.6 | 27 | 1 5 5 |
| 63.1 | 30 | 2 4 8 |


Record 10
Starting from a structure optimized by DFT (PBE), the powder diffraction line list of Th3Re7W2 was computed for Cu Kα, 1.54184 Å.
No peak broadening, texture or thermal motion is included.

Cell lengths 5.4953, 5.4953, 26.7932 Å; angles 90.00, 90.00, 120.00 degrees
Space group R-3m (No. 166, hexagonal axes)
Asymmetric unit:
Th: 0.0000 0.0000 0.0000 (multiplicity 3)
Th: 0.0000 0.0000 0.1445 (multiplicity 6)
Re: 0.0000 0.0000 0.5000 (multiplicity 3)
Re: 0.0052 0.5026 0.9169 (multiplicity 18)
W: 0.0000 0.0000 0.3361 (multiplicity 6)

The 10 most intense peaks (2θ from 15° to 90°), low angle first:
| 2theta | Rel. int. | index |
| --- | --- | --- |
| 30.0 | 15 | 1 0 7 |
| 32.6 | 25 | 1 1 0 |
| 32.7 | 18 | 0 1 8 |
| 38.0 | 27 | 0 2 1 |
| 38.5 | 100 | 1 1 6 |
| 40.4 | 21 | 0 0 12 |
| 41.5 | 23 | 2 0 5 |
| 62.1 | 24 | 3 0 6 |
| 68.3 | 22 | 2 2 0 |
| 82.4 | 17 | 2 2 12 |


Record 11
Starting from a structure optimized by DFT (PBE), the powder diffraction line list of YThRe4 was computed for Cu Kα, 1.54184 Å.
No peak broadening, texture or thermal motion is included.

Cell lengths 5.4131, 5.4131, 9.1429 Å; angles 90.00, 90.00, 120.00 degrees
Space group P-3m1 (No. 164)
Asymmetric unit:
Y: 0.3333 0.6667 0.0631 (multiplicity 2)
Th: 0.3333 0.6667 0.4405 (multiplicity 2)
Re: 0.0000 0.0000 0.0000 (multiplicity 1)
Re: 0.0000 0.0000 0.5000 (multiplicity 1)
Re: 0.1702 0.3404 0.7584 (multiplicity 6)

The 10 most intense peaks (2θ from 15° to 90°), low angle first:
| 2theta | Rel. int. | index |
| --- | --- | --- |
| 33.1 | 21 | 1 1 0 |
| 35.1 | 63 | 0 1 3 |
| 38.7 | 100 | 1 1 2 |
| 39.4 | 25 | 0 0 4 |
| 39.7 | 89 | 2 0 1 |
| 43.4 | 25 | 0 2 2 |
| 60.4 | 23 | 1 2 3 |
| 62.8 | 25 | 0 3 2 |
| 64.6 | 33 | 0 2 5 |
| 69.5 | 28 | 2 2 0 |


Record 12
Starting from a structure optimized by DFT (PBE), the powder diffraction line list of Ti5Re3 was computed for Cu Kα, 1.54184 Å.
No peak broadening, texture or thermal motion is included.

Cell lengths 7.2350, 7.2350, 2.8865 Å; angles 90.00, 90.00, 120.00 degrees
Space group P-62m (No. 189)
Asymmetric unit:
Ti: 0.0000 0.2347 0.0000 (multiplicity 3)
Ti: 0.3333 0.6667 0.0000 (multiplicity 2)
Re: 0.0000 0.6378 0.5000 (multiplicity 3)

The 10 most intense peaks (2θ from 15° to 90°), low angle first:
| 2theta | Rel. int. | index |
| --- | --- | --- |
| 24.6 | 80 | 1 1 0 |
| 38.0 | 19 | 2 1 0 |
| 40.0 | 100 | 1 1 1 |
| 42.6 | 10 | 2 0 1 |
| 43.3 | 37 | 3 0 0 |
| 50.5 | 16 | 2 2 0 |
| 54.2 | 16 | 3 0 1 |
| 60.4 | 17 | 2 2 1 |
| 77.2 | 20 | 4 1 1 |
| 81.0 | 12 | 3 0 2 |